# 1
Starting from a crystal structure in the Materials Project, relaxed with GGA-PBE, the PXRD pattern of NpRuO3 was simulated for Cu Kα (weighted mean of Kα1 and Kα2).

Atomic structure:
abc: 3.9625 3.9625 3.9625
angles: 90.00 90.00 90.00
Space group Pm-3m (No. 221)
One atom of each set of equivalent atoms:
Np (0.0000, 0.0000, 0.0000) x1
Ru (0.5000, 0.5000, 0.5000) x1
O (0.0000, 0.5000, 0.5000) x3

The 10 most intense peaks (10° ≤ 2θ ≤ 90°), by angle:
2theta	d/Å	intensity
22.4	3.963	13.4
31.9	2.802	100.0
39.4	2.288	11.8
45.8	1.981	26.7
51.6	1.772	7.2
56.9	1.618	40.4
66.8	1.401	16.8
75.9	1.253	17.6
80.4	1.195	4.2
84.7	1.144	5.8

---

# 2
Starting from a crystal structure in the Materials Project, relaxed with GGA-PBE, the PXRD pattern of Np2SO10 was simulated for Cu Kα (weighted mean of Kα1 and Kα2).

Atomic structure:
abc: 13.8985 5.5498 13.7619
angles: 90.00 91.79 90.00
Space group P2/c (No. 13)
One atom of each set of equivalent atoms:
Np (0.1411, 0.1793, 0.3344) x4
Np (0.3550, 0.3317, 0.8421) x4
S (0.2563, 0.3976, 0.1149) x4
O (0.0281, 0.3430, 0.3542) x4
O (0.0841, 0.1090, 0.8195) x4
O (0.1983, 0.4953, 0.5385) x4
O (0.2082, 0.2120, 0.1730) x4
O (0.2206, 0.4583, 0.3450) x4
O (0.2818, 0.0493, 0.8534) x4
O (0.3113, 0.4223, 0.6741) x4
O (0.3364, 0.2156, 0.0657) x4
O (0.3918, 0.3508, 0.9957) x4
O (0.4309, 0.4094, 0.3346) x4

The 10 most intense peaks (10° ≤ 2θ ≤ 90°), by angle:
2theta	d/Å	intensity
12.9	6.878	52.3
14.2	6.242	100.0
14.5	6.088	56.6
18.5	4.808	75.3
21.4	4.157	44.4
21.6	4.112	43.1
25.7	3.467	76.3
26.0	3.422	52.4
28.0	3.183	59.3
28.6	3.120	49.2

---

# 3
Starting from a crystal structure in the Materials Project, relaxed with GGA-PBE, the PXRD pattern of Np2SO10 was simulated for Cu Kα (weighted mean of Kα1 and Kα2).

Atomic structure:
abc: 10.6943 5.9868 12.6387
angles: 90.00 96.19 90.00
Space group P2_1/c (No. 14)
One atom of each set of equivalent atoms:
Np (0.0990, 0.1890, 0.1703) x4
Np (0.3870, 0.7112, 0.1701) x4
S (0.2330, 0.6055, 0.8950) x4
O (0.0164, 0.5697, 0.7017) x4
O (0.1057, 0.1621, 0.0262) x4
O (0.1085, 0.6945, 0.9122) x4
O (0.1886, 0.0485, 0.6716) x4
O (0.2174, 0.1096, 0.3332) x4
O (0.2859, 0.5440, 0.6430) x4
O (0.3023, 0.7297, 0.3321) x4
O (0.3095, 0.5619, 0.9964) x4
O (0.4727, 0.0488, 0.7093) x4
O (0.4916, 0.1930, 0.9120) x4

The 10 most intense peaks (10° ≤ 2θ ≤ 90°), by angle:
2theta	d/Å	intensity
14.1	6.283	46.5
15.6	5.684	23.0
17.2	5.170	19.3
21.6	4.122	53.4
22.4	3.975	100.0
22.7	3.913	50.2
25.5	3.489	18.4
27.5	3.241	36.1
30.3	2.953	20.9
32.5	2.756	19.1

---

# 4
Starting from a crystal structure in the Materials Project, relaxed with GGA-PBE, the PXRD pattern of Np2SO10 was simulated for Cu Kα (weighted mean of Kα1 and Kα2).

Atomic structure:
abc: 14.3035 5.5092 14.6078
angles: 90.00 98.46 90.00
Space group P2/c (No. 13)
One atom of each set of equivalent atoms:
Np (0.1373, 0.1803, 0.1699) x4
Np (0.3438, 0.3134, 0.6578) x4
S (0.2496, 0.1261, 0.8636) x4
O (0.0638, 0.2594, 0.0616) x4
O (0.0707, 0.0921, 0.6826) x4
O (0.1690, 0.2791, 0.8701) x4
O (0.2113, 0.1091, 0.3009) x4
O (0.2159, 0.4600, 0.1589) x4
O (0.2615, 0.0490, 0.6346) x4
O (0.3000, 0.0243, 0.9473) x4
O (0.3171, 0.2439, 0.8061) x4
O (0.4086, 0.4100, 0.1814) x4
O (0.4504, 0.1420, 0.6436) x4

The 10 most intense peaks (10° ≤ 2θ ≤ 90°), by angle:
2theta	d/Å	intensity
12.3	7.225	53.1
12.5	7.074	30.7
12.9	6.855	53.2
14.6	6.082	51.9
18.0	4.921	28.2
18.6	4.758	35.0
21.9	4.062	33.9
24.9	3.575	56.6
26.3	3.384	100.0
28.9	3.092	29.2

---

# 5
Starting from a crystal structure in the Materials Project, relaxed with GGA-PBE, the PXRD pattern of Np2SO9 was simulated for Cu Kα (weighted mean of Kα1 and Kα2).

Atomic structure:
abc: 15.9813 6.9378 6.6380
angles: 90.00 90.00 90.00
Space group Pnma (No. 62)
One atom of each set of equivalent atoms:
Np (0.1025, 0.2500, 0.1944) x4
Np (0.1550, 0.7500, 0.9718) x4
S (0.0660, 0.7500, 0.4351) x4
O (0.0027, 0.7500, 0.9200) x4
O (0.0229, 0.2500, 0.5044) x4
O (0.0828, 0.5808, 0.3011) x8
O (0.1229, 0.7500, 0.6094) x4
O (0.1496, 0.0204, 0.9518) x8
O (0.2078, 0.2500, 0.3020) x4
O (0.2341, 0.7500, 0.1732) x4

The 10 most intense peaks (10° ≤ 2θ ≤ 90°), by angle:
2theta	d/Å	intensity
14.4	6.130	47.4
17.4	5.106	52.4
18.5	4.796	67.4
21.4	4.155	64.2
22.3	3.995	50.7
25.7	3.467	100.0
29.1	3.069	37.0
31.9	2.804	85.0
33.7	2.661	49.2
49.4	1.846	34.3

---

# 6
Starting from a crystal structure in the Materials Project, relaxed with GGA-PBE, the PXRD pattern of NpSeO5 was simulated for Cu Kα (weighted mean of Kα1 and Kα2).

Atomic structure:
abc: 4.2654 9.4901 5.8766
angles: 90.00 91.37 90.00
Space group P2_1/m (No. 11)
One atom of each set of equivalent atoms:
Np (0.0000, 0.0000, 0.0000) x2
Se (0.4135, 0.2500, 0.7105) x2
O (0.0041, 0.0907, 0.2666) x4
O (0.0287, 0.2500, 0.8005) x2
O (0.4911, 0.6035, 0.1235) x4

The 10 most intense peaks (10° ≤ 2θ ≤ 90°), by angle:
2theta	d/Å	intensity
15.1	5.875	100.0
18.7	4.745	25.9
20.8	4.264	26.9
24.1	3.691	74.4
26.1	3.413	34.4
28.1	3.172	67.3
31.8	2.812	35.6
36.0	2.498	39.1
42.4	2.134	26.3
46.6	1.947	29.7

---

# 7
Starting from a crystal structure in the Materials Project, relaxed with GGA-PBE, the PXRD pattern of Np2SeO9 was simulated for Cu Kα (weighted mean of Kα1 and Kα2).

Atomic structure:
abc: 7.0268 6.9362 16.1671
angles: 90.00 90.42 90.00
Space group P2_1/c (No. 14)
One atom of each set of equivalent atoms:
Np (0.2438, 0.0353, 0.1572) x4
Np (0.2456, 0.1942, 0.8990) x4
Se (0.2503, 0.5626, 0.0615) x4
O (0.0227, 0.5505, 0.3431) x4
O (0.0961, 0.7386, 0.0895) x4
O (0.1966, 0.0011, 0.4643) x4
O (0.2345, 0.0879, 0.0033) x4
O (0.2482, 0.1203, 0.6284) x4
O (0.2534, 0.1962, 0.2959) x4
O (0.2705, 0.6617, 0.7335) x4
O (0.4561, 0.6826, 0.0624) x4
O (0.4919, 0.5363, 0.3590) x4

The 10 most intense peaks (10° ≤ 2θ ≤ 90°), by angle:
2theta	d/Å	intensity
16.8	5.265	59.7
18.0	4.936	71.5
20.9	4.256	77.2
22.0	4.042	46.8
25.3	3.513	100.0
25.5	3.492	32.0
29.2	3.054	39.5
30.8	2.903	98.2
33.0	2.714	32.6
33.2	2.700	32.0

---

# 8
Starting from a crystal structure in the Materials Project, relaxed with GGA-PBE, the PXRD pattern of NpSiO3 was simulated for Cu Kα (weighted mean of Kα1 and Kα2).

Atomic structure:
abc: 3.7828 3.7828 3.7828
angles: 90.00 90.00 90.00
Space group Pm-3m (No. 221)
One atom of each set of equivalent atoms:
Np (0.0000, 0.0000, 0.0000) x1
Si (0.5000, 0.5000, 0.5000) x1
O (0.0000, 0.5000, 0.5000) x3

The 10 most intense peaks (10° ≤ 2θ ≤ 90°), by angle:
2theta	d/Å	intensity
23.5	3.783	67.8
33.5	2.675	100.0
41.3	2.184	40.3
48.1	1.891	28.9
54.2	1.692	32.3
59.9	1.544	40.1
70.4	1.337	18.0
75.4	1.261	16.0
80.2	1.196	18.1
85.0	1.141	14.5